[1]
Starting from a structure optimized by DFT (GGA-PBE), the XRD peak list of NaMg14Co was simulated for Cu Ka.
No peak broadening, texture or thermal motion is included.

Largest 10 diffraction maxima, in order of falling intensity, 2θ from 15° to 90°:
- 37.15 deg, I 100, (2 2 2)
- 37.54 deg, I 47, (2 0 4)
- 36.04 deg, I 35, (4 0 0)
- 32.34 deg, I 24, (0 2 2)
- 70.43 deg, I 17, (4 2 6)
- 58.24 deg, I 17, (0 2 6)
- 65.53 deg, I 16, (6 2 2)
- 49.20 deg, I 14, (4 2 2)
- 70.63 deg, I 13, (2 4 4)
- 32.78 deg, I 13, (0 0 4)

Atomic structure:
Cell: 9.967 6.422 10.928 Å, 90.00 90.00 90.00°
Space group Amm2 (No. 38)
Asymmetric unit:
Na 0.000 0.000 0.000
Mg 0.000 0.246 0.249
Mg 0.236 0.000 0.659
Mg 0.240 0.237 0.420
Mg 0.257 0.000 0.168
Mg 0.500 0.000 0.499
Mg 0.500 0.000 0.997
Mg 0.500 0.247 0.750
Co 0.000 0.000 0.496

---

[2]
Starting from a structure optimized by DFT (GGA-PBE), the XRD peak list of NaMg14Co was simulated for Cu Ka.
No peak broadening, texture or thermal motion is included.

Largest 10 diffraction maxima, in order of falling intensity, 2θ from 15° to 90°:
- 37.16 deg, I 100, (2 0 2)
- 32.22 deg, I 26, (2 0 0)
- 36.53 deg, I 22, (0 0 4)
- 57.44 deg, I 18, (2 2 0)
- 70.02 deg, I 18, (2 2 4)
- 66.17 deg, I 15, (2 0 6)
- 49.49 deg, I 14, (2 0 4)
- 70.43 deg, I 14, (4 0 2)
- 18.34 deg, I 7, (1 0 1)
- 15.95 deg, I 5, (1 0 0)

Atomic structure:
Cell: 6.4168 6.4168 9.8385 Å, 90.00 90.00 120.00°
Space group P-6m2 (No. 187)
Asymmetric unit:
Na 0.0000 0.0000 0.0000
Mg 0.0059 0.5030 0.0000
Mg 0.1606 0.3211 0.2664
Mg 0.5025 0.0050 0.5000
Mg 0.6667 0.3333 0.2449
Co 0.0000 0.0000 0.5000

---

[3]
Starting from a structure optimized by DFT (GGA-PBE), the XRD peak list of Mg6NbCo was simulated for Cu Ka.
No peak broadening, texture or thermal motion is included.

Largest 10 diffraction maxima, in order of falling intensity, 2θ from 15° to 90°:
- 39.84 deg, I 100, (1 2 2)
- 37.74 deg, I 73, (1 0 4)
- 16.16 deg, I 49, (0 0 2)
- 37.32 deg, I 43, (2 0 0)
- 35.01 deg, I 43, (0 2 2)
- 18.41 deg, I 31, (1 0 0)
- 52.10 deg, I 26, (2 2 2)
- 24.59 deg, I 25, (1 0 2)
- 72.64 deg, I 19, (2 2 6)
- 69.00 deg, I 18, (3 2 2)

Atomic structure:
Cell: 4.819 5.798 10.972 Å, 90.00 90.00 90.00°
Space group Amm2 (No. 38)
Asymmetric unit:
Mg 0.000 0.000 0.000
Mg 0.000 0.000 0.480
Mg 0.000 0.249 0.757
Mg 0.500 0.249 0.100
Nb 0.500 0.000 0.852
Co 0.500 0.000 0.338

---

[4]
Starting from a structure optimized by DFT (GGA-PBE), the XRD peak list of Mg14NbCo was simulated for Cu Ka.
No peak broadening, texture or thermal motion is included.

Largest 10 diffraction maxima, in order of falling intensity, 2θ from 15° to 90°:
- 38.37 deg, I 100, (2 2 2)
- 37.36 deg, I 62, (2 0 4)
- 36.16 deg, I 40, (4 0 0)
- 33.69 deg, I 34, (0 2 2)
- 71.03 deg, I 24, (4 2 6)
- 18.43 deg, I 21, (1 0 2)
- 50.24 deg, I 20, (4 2 2)
- 58.79 deg, I 18, (0 2 6)
- 73.71 deg, I 17, (2 4 4)
- 66.50 deg, I 17, (6 2 2)

Atomic structure:
Cell: 9.937 6.080 11.006 Å, 90.00 90.00 90.00°
Space group Amm2 (No. 38)
Asymmetric unit:
Mg 0.000 0.000 0.000
Mg 0.000 0.000 0.499
Mg 0.000 0.248 0.252
Mg 0.250 0.000 0.661
Mg 0.267 0.248 0.919
Mg 0.268 0.000 0.155
Mg 0.500 0.244 0.755
Nb 0.500 0.000 0.511
Co 0.500 0.000 0.000

---

[5]
Starting from a structure optimized by DFT (GGA-PBE), the XRD peak list of Mg6NbCo was simulated for Cu Ka.
No peak broadening, texture or thermal motion is included.

Largest 10 diffraction maxima, in order of falling intensity, 2θ from 15° to 90°:
- 39.29 deg, I 100, (1 2 2)
- 16.90 deg, I 93, (0 1 1)
- 37.84 deg, I 92, (1 0 4)
- 34.19 deg, I 61, (0 2 2)
- 38.09 deg, I 51, (2 0 0)
- 16.11 deg, I 44, (0 0 2)
- 52.10 deg, I 35, (2 2 2)
- 75.19 deg, I 22, (1 4 4)
- 34.41 deg, I 20, (1 1 3)
- 41.94 deg, I 18, (2 1 1)

Atomic structure:
Cell: 4.725 5.968 11.004 Å, 90.00 90.00 90.00°
Space group Amm2 (No. 38)
Asymmetric unit:
Mg 0.000 0.000 0.000
Mg 0.000 0.240 0.256
Mg 0.500 0.000 0.843
Mg 0.500 0.242 0.598
Nb 0.500 0.000 0.367
Co 0.000 0.000 0.474

---

[6]
Starting from a structure optimized by DFT (GGA-PBE), the XRD peak list of Mg14NbCo was simulated for Cu Ka.
No peak broadening, texture or thermal motion is included.

Largest 10 diffraction maxima, in order of falling intensity, 2θ from 15° to 90°:
- 37.64 deg, I 100, (2 0 2)
- 16.23 deg, I 29, (1 0 0)
- 32.79 deg, I 28, (2 0 0)
- 36.41 deg, I 24, (0 0 4)
- 58.54 deg, I 18, (2 2 0)
- 70.92 deg, I 18, (2 2 4)
- 66.33 deg, I 17, (2 0 6)
- 49.80 deg, I 16, (2 0 4)
- 24.30 deg, I 14, (1 0 2)
- 71.71 deg, I 13, (4 0 2)

Atomic structure:
Cell: 6.3078 6.3078 9.8709 Å, 90.00 90.00 120.00°
Space group P-6m2 (No. 187)
Asymmetric unit:
Mg 0.0000 0.0000 0.2429
Mg 0.0215 0.5108 0.2582
Mg 0.3309 0.1655 0.5000
Mg 0.3410 0.1705 0.0000
Nb 0.3333 0.6667 0.0000
Co 0.3333 0.6667 0.5000

---

- What is the formula in the third record?
  Mg6NbCo